Theoretical X-ray powder pattern
Compound: KNa2PaF8
Radiation: Cu Kα
Structure: a structure optimized by DFT (GGA-PBE)
No peak broadening, texture or thermal motion is included.

The 12 most intense peaks (2θ = 15–90°), in order of falling intensity:
d/Å	Rel. int.
4.284	100
4.929	77
3.254	65
2.846	34
2.379	32
2.142	28
1.711	21
1.821	20
2.027	18
1.984	18
4.333	16
2.370	15

Atomic structure:
Cell: 5.691 5.691 8.667 Å, 90.00 90.00 120.00°
Fractional positions:
K: 0.000 0.000 0.000
Na: 0.333 0.667 0.169
Na: 0.667 0.333 0.831
Pa: 0.000 0.000 0.500
F: 0.166 0.332 0.347
F: 0.166 0.834 0.347
F: 0.332 0.166 0.653
F: 0.333 0.667 0.927
F: 0.667 0.333 0.073
F: 0.668 0.834 0.347
F: 0.834 0.166 0.653
F: 0.834 0.668 0.653